Entry 1:
Diffraction record for Cd2Ag7Au3. The X-ray diffraction stick pattern is computed, not measured: it uses a DFT-relaxed cell (PBE, Alexandria) and Cu Ka.
Intensities are scaled so that the largest is 100.

The 10 most intense peaks (2θ = 10–80°), by angle:
2θ (°)	d [Å]	I/Imax
27.0	3.300	16.8
36.6	2.454	34.8
37.5	2.396	21.7
37.8	2.382	63.4
37.9	2.372	48.3
38.3	2.350	100.0
38.9	2.315	41.2
39.4	2.289	40.4
41.9	2.157	18.0
54.6	1.680	21.2

```
Cd2Ag7Au3
1.0
4.778 0.000 0.000
0.000 2.900 0.000
-1.111 0.000 16.498
Cd Ag Au
2 7 3
Direct
0.203 0.000 0.293 Cd
0.797 0.000 0.707 Cd
0.171 0.500 0.142 Ag
0.241 0.000 0.459 Ag
0.321 0.000 0.814 Ag
0.500 0.500 0.000 Ag
0.679 0.000 0.186 Ag
0.759 0.000 0.541 Ag
0.829 0.500 0.858 Ag
0.000 0.000 0.000 Au
0.277 0.500 0.621 Au
0.723 0.500 0.379 Au
```

Entry 2:
Diffraction record for CsDyVBr6. The X-ray diffraction stick pattern is computed, not measured: it uses a DFT-relaxed cell (PBE, Alexandria) and Cu Ka.
Intensities are scaled so that the largest is 100.

The 10 most intense peaks (2θ = 10–80°), by angle:
2θ (°)	d [Å]	I/Imax
10.6	8.321	53.2
18.0	4.927	99.8
27.4	3.250	69.7
33.3	2.692	100.0
40.5	2.227	29.7
41.4	2.181	18.2
44.4	2.038	37.2
51.0	1.792	23.7
55.3	1.662	19.1
56.6	1.625	17.9

```
CsDyVBr6
1.0
7.060 0.000 0.000
-3.530 6.114 0.000
0.000 0.000 8.321
Cs Dy V Br
1 1 1 6
Direct
0.000 0.000 0.000 Cs
0.667 0.333 0.500 Dy
0.333 0.667 0.500 V
0.017 0.376 0.689 Br
0.017 0.641 0.311 Br
0.359 0.376 0.311 Br
0.359 0.983 0.689 Br
0.624 0.641 0.689 Br
0.624 0.983 0.311 Br
```

Entry 3:
Diffraction record for ThNb4O12. The X-ray diffraction stick pattern is computed, not measured: it uses a DFT-relaxed cell (PBE, Alexandria) and Cu Ka.
Intensities are scaled so that the largest is 100.

The 10 most intense peaks (2θ = 10–80°), by angle:
2θ (°)	d [Å]	I/Imax
11.1	7.968	35.4
16.8	5.292	58.3
22.4	3.973	24.0
23.1	3.857	23.8
25.1	3.551	23.5
31.9	2.809	100.0
36.2	2.479	15.0
45.7	1.984	25.9
56.8	1.621	27.0
66.5	1.406	14.6

```
ThNb4O12
1.0
-2.805 2.805 7.968
2.805 -2.805 7.968
2.805 2.805 -7.968
Th Nb O
1 4 12
Direct
0.000 0.000 0.000 Th
0.128 0.628 0.500 Nb
0.372 0.872 0.500 Nb
0.628 0.128 0.500 Nb
0.872 0.372 0.500 Nb
0.000 0.500 0.500 O
0.123 0.123 0.471 O
0.123 0.652 0.000 O
0.250 0.750 0.500 O
0.348 0.348 0.471 O
0.348 0.877 0.000 O
0.500 0.000 0.500 O
0.652 0.123 0.000 O
0.652 0.652 0.529 O
0.750 0.250 0.500 O
0.877 0.348 0.000 O
0.877 0.877 0.529 O
```

Entry 4:
Diffraction record for FeCu6GeS8. The X-ray diffraction stick pattern is computed, not measured: it uses a DFT-relaxed cell (PBE, Alexandria) and Cu Ka.
Intensities are scaled so that the largest is 100.

The 8 most intense peaks (2θ = 10–80°), by angle:
2θ (°)	d [Å]	I/Imax
29.5	3.030	100.0
34.2	2.624	11.0
44.9	2.020	0.7
49.1	1.856	59.1
58.3	1.582	38.4
61.2	1.515	2.6
72.0	1.312	8.6
79.6	1.204	14.5

```
FeCu6GeS8
1.0
0.000 5.248 5.248
5.248 0.000 5.248
5.248 5.248 0.000
Fe Cu Ge S
1 6 1 8
Direct
0.000 0.000 0.000 Fe
0.505 0.505 0.995 Cu
0.505 0.995 0.505 Cu
0.505 0.995 0.995 Cu
0.995 0.505 0.505 Cu
0.995 0.505 0.995 Cu
0.995 0.995 0.505 Cu
0.500 0.500 0.500 Ge
0.364 0.879 0.879 S
0.375 0.375 0.375 S
0.375 0.375 0.875 S
0.375 0.875 0.375 S
0.875 0.375 0.375 S
0.879 0.364 0.879 S
0.879 0.879 0.364 S
0.879 0.879 0.879 S
```

Entry 5:
Diffraction record for La2Zn6Ni3. The X-ray diffraction stick pattern is computed, not measured: it uses a DFT-relaxed cell (PBE, Alexandria) and Cu Ka.
Intensities are scaled so that the largest is 100.

The 10 most intense peaks (2θ = 10–80°), by angle:
2θ (°)	d [Å]	I/Imax
32.6	2.743	100.0
35.5	2.532	15.4
36.2	2.484	27.3
41.2	2.191	31.5
42.9	2.106	62.2
45.7	1.986	24.4
50.0	1.823	12.7
53.5	1.712	13.0
63.2	1.471	17.0
69.7	1.349	20.9

```
La2Zn6Ni3
1.0
7.588 0.000 0.000
-3.794 6.572 0.000
0.000 0.000 3.971
La Zn Ni
2 6 3
Direct
0.333 0.667 0.000 La
0.667 0.333 0.000 La
0.000 0.281 0.500 Zn
0.000 0.804 0.000 Zn
0.196 0.196 0.000 Zn
0.281 0.000 0.500 Zn
0.719 0.719 0.500 Zn
0.804 0.000 0.000 Zn
0.000 0.612 0.500 Ni
0.388 0.388 0.500 Ni
0.612 0.000 0.500 Ni
```

Entry 6:
Diffraction record for BaNbSi2Pb. The X-ray diffraction stick pattern is computed, not measured: it uses a DFT-relaxed cell (PBE, Alexandria) and Cu Ka.
Intensities are scaled so that the largest is 100.

The 10 most intense peaks (2θ = 10–80°), by angle:
2θ (°)	d [Å]	I/Imax
16.2	5.480	29.7
17.7	5.024	46.1
25.1	3.552	100.0
30.0	2.981	81.7
32.7	2.740	44.1
35.7	2.512	69.1
41.6	2.170	53.5
49.2	1.852	55.5
62.3	1.491	27.4
68.2	1.374	25.1

```
BaNbSi2Pb
1.0
5.024 0.000 0.000
0.000 5.024 0.000
0.000 0.000 5.480
Ba Nb Si Pb
1 1 2 1
Direct
0.000 0.000 0.000 Ba
0.500 0.500 0.500 Nb
0.000 0.500 0.500 Si
0.500 0.000 0.500 Si
0.500 0.500 0.000 Pb
```